[1]
The following is a theoretical powder XRD pattern of Sc2Ta2Hg. It was derived from the GGA-PBE geometry in Alexandria, using Cu Ka.
Kinematic intensities with the Lorentz-polarization factor, no thermal factor.

Cell and atoms:
abc: 7.409 7.409 3.880
angles: 90.00 90.00 90.00
Element x y z (fractional)
Sc  0.167  0.333  0.000
Sc  0.333  0.833  0.000
Sc  0.667  0.167  0.000
Sc  0.833  0.667  0.000
Ta  0.126  0.626  0.500
Ta  0.374  0.126  0.500
Ta  0.626  0.874  0.500
Ta  0.874  0.374  0.500
Hg  0.000  0.000  0.500
Hg  0.500  0.500  0.500

Principal peaks in the range 2θ = 15–90°, sorted by position:
22.92 deg, d 3.880, I = 80; 26.91 deg, d 3.314, I = 34; 33.44 deg, d 2.680, I = 33; 35.63 deg, d 2.520, I = 100; 38.42 deg, d 2.343, I = 72; 45.21 deg, d 2.006, I = 58; 46.82 deg, d 1.940, I = 24; 50.24 deg, d 1.816, I = 22; 62.11 deg, d 1.494, I = 35; 69.01 deg, d 1.361, I = 22

***

[2]
The following is a theoretical powder XRD pattern of Y4SnBiSe2. It was derived from the GGA-PBE geometry in Alexandria, using Cu Ka.
Kinematic intensities with the Lorentz-polarization factor, no thermal factor.

Cell and atoms:
abc: 7.393 4.280 7.423
angles: 90.00 109.46 90.00
Element x y z (fractional)
Y  0.239  0.000  0.240
Y  0.242  0.500  0.753
Y  0.758  0.500  0.247
Y  0.761  0.000  0.760
Sn  0.500  0.000  0.000
Bi  0.500  0.500  0.500
Se  0.000  0.000  0.500
Se  0.000  0.500  0.000

Principal peaks in the range 2θ = 15–90°, sorted by position:
24.38 deg, d 3.651, I = 8; 29.53 deg, d 3.025, I = 100; 42.22 deg, d 2.141, I = 50; 42.32 deg, d 2.136, I = 25; 52.35 deg, d 1.748, I = 20; 61.29 deg, d 1.513, I = 12; 69.41 deg, d 1.354, I = 17; 69.53 deg, d 1.352, I = 11; 77.14 deg, d 1.236, I = 10; 77.26 deg, d 1.235, I = 8

***

[3]
The following is a theoretical powder XRD pattern of TaAsW2. It was derived from the GGA-PBE geometry in Alexandria, using Cu Ka.
Kinematic intensities with the Lorentz-polarization factor, no thermal factor.

Cell and atoms:
abc: 10.260 3.288 4.276
angles: 90.00 114.55 90.00
Element x y z (fractional)
Ta  0.000  0.000  0.000
Ta  0.500  0.500  0.000
As  0.000  0.500  0.500
As  0.500  0.000  0.500
W  0.248  0.500  0.248
W  0.252  0.000  0.752
W  0.748  0.000  0.248
W  0.752  0.500  0.752

Principal peaks in the range 2θ = 15–90°, sorted by position:
38.59 deg, d 2.333, I = 27; 39.61 deg, d 2.276, I = 100; 42.27 deg, d 2.138, I = 21; 55.93 deg, d 1.644, I = 9; 58.56 deg, d 1.576, I = 16; 70.01 deg, d 1.344, I = 9; 70.50 deg, d 1.336, I = 18; 72.54 deg, d 1.303, I = 9; 75.50 deg, d 1.259, I = 15; 85.31 deg, d 1.138, I = 11

***

[4]
The following is a theoretical powder XRD pattern of Pm5Y3Sb8. It was derived from the GGA-PBE geometry in Alexandria, using Cu Ka.
Kinematic intensities with the Lorentz-polarization factor, no thermal factor.

Cell and atoms:
abc: 8.911 8.911 8.911
angles: 60.03 60.03 60.03
Element x y z (fractional)
Pm  0.000  0.000  0.000
Pm  0.000  0.500  0.500
Pm  0.500  0.000  0.500
Pm  0.500  0.500  0.000
Pm  0.500  0.500  0.500
Y  0.000  0.000  0.500
Y  0.000  0.500  0.000
Y  0.500  0.000  0.000
Sb  0.246  0.750  0.750
Sb  0.248  0.248  0.248
Sb  0.250  0.250  0.754
Sb  0.250  0.754  0.250
Sb  0.750  0.246  0.750
Sb  0.750  0.750  0.246
Sb  0.752  0.752  0.752
Sb  0.754  0.250  0.250

Principal peaks in the range 2θ = 15–90°, sorted by position:
23.40 deg, d 3.801, I = 2; 28.32 deg, d 3.151, I = 100; 30.92 deg, d 2.892, I = 1; 40.48 deg, d 2.228, I = 76; 50.14 deg, d 1.819, I = 27; 56.04 deg, d 1.641, I = 1; 58.59 deg, d 1.576, I = 13; 66.33 deg, d 1.409, I = 34; 73.63 deg, d 1.287, I = 25; 87.57 deg, d 1.114, I = 8

***

[5]
The following is a theoretical powder XRD pattern of Pu5PaTe8. It was derived from the GGA-PBE geometry in Alexandria, using Cu Ka.
Kinematic intensities with the Lorentz-polarization factor, no thermal factor.

Cell and atoms:
abc: 8.092 8.092 8.092
angles: 109.48 109.48 109.45
Element x y z (fractional)
Pu  0.000  0.000  0.000
Pu  0.248  0.624  0.128
Pu  0.376  0.503  0.624
Pu  0.497  0.121  0.872
Pu  0.879  0.752  0.376
Pa  0.750  0.250  0.500
Te  0.121  0.720  0.749
Te  0.125  0.227  0.748
Te  0.280  0.029  0.401
Te  0.479  0.377  0.252
Te  0.623  0.875  0.102
Te  0.628  0.879  0.599
Te  0.773  0.521  0.898
Te  0.971  0.372  0.251

Principal peaks in the range 2θ = 15–90°, sorted by position:
23.32 deg, d 3.815, I = 29; 30.25 deg, d 2.955, I = 100; 35.96 deg, d 2.497, I = 68; 43.30 deg, d 2.089, I = 26; 45.53 deg, d 1.992, I = 17; 47.68 deg, d 1.907, I = 11; 49.76 deg, d 1.833, I = 19; 61.14 deg, d 1.516, I = 34; 64.65 deg, d 1.442, I = 16; 74.64 deg, d 1.272, I = 22

***

[6]
The following is a theoretical powder XRD pattern of LaZnIn. It was derived from the GGA-PBE geometry in Alexandria, using Cu Ka.
Kinematic intensities with the Lorentz-polarization factor, no thermal factor.

Cell and atoms:
abc: 4.444 6.255 11.254
angles: 90.00 90.00 90.00
Element x y z (fractional)
La  0.000  0.000  0.193
La  0.000  0.000  0.807
La  0.500  0.500  0.307
La  0.500  0.500  0.693
Zn  0.000  0.500  0.115
Zn  0.000  0.500  0.885
Zn  0.500  0.000  0.385
Zn  0.500  0.000  0.615
In  0.000  0.248  0.500
In  0.000  0.752  0.500
In  0.500  0.252  0.000
In  0.500  0.748  0.000

Principal peaks in the range 2θ = 15–90°, sorted by position:
29.32 deg, d 3.046, I = 38; 31.20 deg, d 2.867, I = 100; 32.76 deg, d 2.734, I = 51; 36.01 deg, d 2.494, I = 85; 40.60 deg, d 2.222, I = 43; 42.70 deg, d 2.117, I = 23; 43.25 deg, d 2.092, I = 15; 53.11 deg, d 1.724, I = 25; 54.29 deg, d 1.690, I = 19; 68.33 deg, d 1.373, I = 20